Calculated X-ray powder pattern of YV2Fe5Co5 for Cu Kα, 1.54184 Å, from DFT lattice parameters and positions (PBE).
Kinematic intensities with the Lorentz-polarization factor, no thermal factor.

Most intense lines, 10 to 90 degrees two-theta, in order of falling intensity:
d_spacing	I (rel.)	hkl
2.082	100	1 3 2
2.036	72	2 0 2
1.832	51	2 2 2
2.103	38	0 0 4
2.093	32	0 4 0
2.922	21	1 2 1

Crystal structure
Cell: 4.656 8.374 8.414 Å, 90.00 90.00 90.00°
Space group Imm2 (No. 44)
Asymmetric unit:
Y 0.000 0.000 0.000
V 0.000 0.000 0.359
V 0.000 0.000 0.644
Fe 0.000 0.500 0.726
Fe 0.250 0.249 0.751
Co 0.000 0.274 0.502
Co 0.000 0.359 0.000
Co 0.000 0.500 0.278

Calculated X-ray powder pattern of Sm3Y4Al4 for Cu Kα, 1.54184 Å, from DFT lattice parameters and positions (PBE).
Kinematic intensities with the Lorentz-polarization factor, no thermal factor.

Most intense lines, 10 to 90 degrees two-theta, in order of falling intensity:
d_spacing	I (rel.)	hkl
2.835	100	1 2 1
2.969	51	1 1 4
2.581	44	2 0 0
3.058	42	0 1 5
2.844	36	1 0 5
1.535	28	3 2 1

Crystal structure
Cell: 5.162 6.922 17.046 Å, 90.00 90.00 90.00°
Space group Immm (No. 71)
Asymmetric unit:
Sm 0.000 0.000 0.000
Sm 0.000 0.500 0.102
Y 0.000 0.267 0.321
Al 0.000 0.000 0.177
Al 0.000 0.197 0.500

Calculated X-ray powder pattern of NaBeGaF6 for Cu Kα, 1.54184 Å, from DFT lattice parameters and positions (PBE).
Kinematic intensities with the Lorentz-polarization factor, no thermal factor.

Most intense lines, 10 to 90 degrees two-theta, in order of falling intensity:
d_spacing	I (rel.)	hkl
3.235	100	1 0 2
4.991	87	0 0 2
3.909	83	1 0 1
1.749	79	1 1 4
2.201	66	1 1 2
2.620	44	1 0 3

Crystal structure
Cell: 4.9058 4.9058 9.9822 Å, 90.00 90.00 120.00°
Space group P-31c (No. 163)
Asymmetric unit:
Na 0.0000 0.0000 0.0000
Be 0.3333 0.6667 0.2500
Ga 0.3333 0.6667 0.7500
F 0.0212 0.3819 0.1484

Calculated X-ray powder pattern of Sm4TlRu2 for Cu Kα, 1.54184 Å, from DFT lattice parameters and positions (PBE).
Kinematic intensities with the Lorentz-polarization factor, no thermal factor.

Most intense lines, 10 to 90 degrees two-theta, in order of falling intensity:
d_spacing	I (rel.)	hkl
3.000	100	2 0 -1
2.711	92	-1 2 1
2.760	77	1 2 0
2.839	77	1 0 2
2.500	58	2 -2 1
2.727	48	1 1 -3

Crystal structure
Cell: 6.113 8.008 8.565 Å, 117.26 99.44 96.09°
Space group P1 (No. 1)
Asymmetric unit:
Sm 0.000 0.000 0.000
Sm 0.068 0.475 0.959
Sm 0.189 0.292 0.499
Sm 0.258 0.730 0.446
Sm 0.498 0.159 0.876
Sm 0.577 0.086 0.275
Sm 0.662 0.640 0.166
Sm 0.760 0.575 0.560
Tl 0.423 0.725 0.842
Tl 0.860 0.018 0.599
Ru 0.080 0.894 0.261
Ru 0.365 0.369 0.217
Ru 0.640 0.369 0.719
Ru 0.881 0.361 0.215

Calculated X-ray powder pattern of Li2Ga5Rh2 for Cu Kα, 1.54184 Å, from DFT lattice parameters and positions (PBE).
Kinematic intensities with the Lorentz-polarization factor, no thermal factor.

Most intense lines, 10 to 90 degrees two-theta, in order of falling intensity:
d_spacing	I (rel.)	hkl
4.468	100	1 0 1
2.234	72	2 0 2
3.705	33	0 4 0
2.161	33	1 6 1
2.069	29	4 0 0
1.657	25	2 6 2

Crystal structure
Cell: 8.276 14.820 5.308 Å, 90.00 90.00 90.00°
Space group Imma (No. 74)
Asymmetric unit:
Li 0.000 0.000 0.000
Li 0.000 0.250 0.041
Ga 0.000 0.250 0.533
Ga 0.250 0.083 0.250
Ga 0.250 0.129 0.750
Rh 0.000 0.092 0.502

Calculated X-ray powder pattern of BaPdI4O12 for Cu Kα, 1.54184 Å, from DFT lattice parameters and positions (PBE).
Kinematic intensities with the Lorentz-polarization factor, no thermal factor.

Most intense lines, 10 to 90 degrees two-theta, in order of falling intensity:
d_spacing	I (rel.)	hkl
3.515	100	1 1 0
3.571	46	1 -2 0
3.242	46	1 -1 2
3.028	34	0 2 -2
2.940	32	0 1 2
3.008	26	-1 2 1

Crystal structure
Cell: 6.036 7.541 8.171 Å, 105.15 94.93 112.88°
Space group P1 (No. 1)
Asymmetric unit:
Ba 0.000 0.000 0.000
Pd 0.225 0.999 0.472
I 0.298 0.638 0.174
I 0.307 0.705 0.694
I 0.608 0.347 0.846
I 0.684 0.299 0.337
O 0.027 0.393 0.085
O 0.090 0.796 0.601
O 0.107 0.783 0.237
O 0.183 0.712 0.893
O 0.298 0.220 0.697
O 0.345 0.201 0.341
O 0.406 0.630 0.386
O 0.479 0.305 0.036
O 0.585 0.945 0.774
O 0.632 0.604 0.882
O 0.699 0.059 0.232
O 0.813 0.347 0.564